(1)
Starting from a DFT-relaxed cell (GGA-PBE, Alexandria), the X-ray powder pattern of PmY2Cd5 was simulated for Cu Kα X-rays.

Lattice parameters (Å, degrees): 5.189 5.189 15.016 90.00 90.00 90.00
Space group I4/mmm (No. 139)
Inequivalent atoms, fractional coordinates:
1 Pm 0.000 0.000 0.000
2 Y 0.000 0.000 0.263
3 Cd 0.000 0.000 0.500
4 Cd 0.000 0.500 0.122

Principal peaks in the range 10 to 80 degrees two-theta, low angle first:
| 2θ/deg | intensity | hkl |
| --- | --- | --- |
| 11.8 | 36 | 0 0 2 |
| 24.7 | 16 | 1 0 3 |
| 34.2 | 1000 | 1 1 4 |
| 34.6 | 498 | 2 0 0 |
| 48.5 | 85 | 0 0 8 |
| 49.7 | 174 | 2 2 0 |
| 60.9 | 167 | 2 0 8 |
| 61.7 | 346 | 3 1 4 |
| 72.0 | 100 | 2 2 8 |
| 72.9 | 53 | 4 0 0 |



(2)
Starting from a DFT-relaxed cell (GGA-PBE, Alexandria), the X-ray powder pattern of Pm5YCd3 was simulated for Cu Kα X-rays.

Lattice parameters (Å, degrees): 9.3957 9.3957 7.0386 90.00 90.00 120.00
Space group P6_3/mcm (No. 193)
Inequivalent atoms, fractional coordinates:
1 Pm 0.0000 0.3358 0.2500
2 Pm 0.3333 0.6667 0.0000
3 Y 0.0000 0.0000 0.0000
4 Cd 0.0000 0.3278 0.7500

Principal peaks in the range 10 to 80 degrees two-theta, low angle first:
| 2θ/deg | intensity | hkl |
| --- | --- | --- |
| 31.8 | 983 | 1 1 2 |
| 33.0 | 1000 | 3 0 0 |
| 42.1 | 120 | 3 0 2 |
| 46.5 | 337 | 2 2 2 |
| 52.0 | 93 | 0 0 4 |
| 58.2 | 341 | 4 1 2 |
| 59.0 | 185 | 3 3 0 |
| 63.0 | 304 | 3 0 4 |
| 69.3 | 113 | 6 0 0 |
| 78.2 | 143 | 5 2 2 |



(3)
Starting from a DFT-relaxed cell (GGA-PBE, Alexandria), the X-ray powder pattern of PmY5Cd6 was simulated for Cu Kα X-rays.

Lattice parameters (Å, degrees): 5.310 15.970 7.557 90.00 90.00 90.00
Space group Cmmm (No. 65)
Inequivalent atoms, fractional coordinates:
1 Pm 0.000 0.000 0.000
2 Y 0.000 0.000 0.500
3 Y 0.000 0.332 0.000
4 Y 0.000 0.335 0.500
5 Cd 0.000 0.168 0.254
6 Cd 0.000 0.500 0.253

Principal peaks in the range 10 to 80 degrees two-theta, low angle first:
| 2θ/deg | intensity | hkl |
| --- | --- | --- |
| 33.6 | 1000 | 1 3 2 |
| 33.8 | 198 | 2 0 0 |
| 48.2 | 71 | 0 0 4 |
| 48.4 | 140 | 2 6 0 |
| 60.1 | 142 | 2 0 4 |
| 60.2 | 141 | 1 9 2 |
| 60.3 | 141 | 3 3 2 |
| 70.7 | 107 | 2 6 4 |
| 71.0 | 21 | 4 0 0 |



(4)
Starting from a DFT-relaxed cell (GGA-PBE, Alexandria), the X-ray powder pattern of Pm2Zn10Cd was simulated for Cu Kα X-rays.

Lattice parameters (Å, degrees): 5.507 6.083 15.579 90.00 110.30 90.00
Space group P2_1/c (No. 14)
Inequivalent atoms, fractional coordinates:
1 Pm 0.081 0.223 0.082
2 Zn 0.092 0.220 0.366
3 Zn 0.251 0.026 0.756
4 Zn 0.300 0.604 0.799
5 Zn 0.363 0.721 0.136
6 Zn 0.421 0.534 0.421
7 Cd 0.500 0.000 0.500

Principal peaks in the range 10 to 80 degrees two-theta, low angle first:
| 2θ/deg | intensity | hkl |
| --- | --- | --- |
| 28.5 | 458 | 0 1 4 |
| 28.6 | 209 | 1 1 -4 |
| 32.5 | 346 | 2 0 -2 |
| 34.0 | 210 | 0 1 5 |
| 34.2 | 1000 | 1 2 -2 |
| 34.7 | 182 | 1 0 4 |
| 34.8 | 393 | 1 0 -6 |
| 37.8 | 555 | 2 1 0 |
| 38.0 | 548 | 2 1 -4 |
| 38.5 | 492 | 0 2 4 |



(5)
Starting from a DFT-relaxed cell (GGA-PBE, Alexandria), the X-ray powder pattern of Pm3Zn4Cd4 was simulated for Cu Kα X-rays.

Lattice parameters (Å, degrees): 3.727 4.698 14.764 80.90 82.76 89.99
Space group P-1 (No. 2)
Inequivalent atoms, fractional coordinates:
1 Pm 0.000 0.000 0.000
2 Pm 0.143 0.643 0.715
3 Zn 0.313 0.815 0.371
4 Zn 0.457 0.455 0.090
5 Cd 0.260 0.260 0.481
6 Cd 0.407 0.907 0.185

Principal peaks in the range 10 to 80 degrees two-theta, low angle first:
| 2θ/deg | intensity | hkl |
| --- | --- | --- |
| 32.3 | 423 | 1 0 4 |
| 33.1 | 1000 | 1 1 -1 |
| 38.3 | 317 | 0 2 1 |
| 39.3 | 475 | 0 1 6 |
| 48.9 | 155 | 2 0 1 |
| 51.0 | 231 | 1 2 5 |
| 63.7 | 136 | 2 2 2 |
| 64.4 | 164 | 2 1 -4 |
| 66.0 | 130 | 1 3 0 |
| 67.7 | 89 | 1 2 -6 |



(6)
Starting from a DFT-relaxed cell (GGA-PBE, Alexandria), the X-ray powder pattern of PmZnCd2 was simulated for Cu Kα X-rays.

Lattice parameters (Å, degrees): 7.093 7.104 7.130 90.00 90.00 90.00
Space group F222 (No. 22)
Inequivalent atoms, fractional coordinates:
1 Pm 0.000 0.000 0.000
2 Zn 0.250 0.250 0.250
3 Cd 0.000 0.000 0.500
4 Cd 0.250 0.250 0.750

Principal peaks in the range 10 to 80 degrees two-theta, low angle first:
| 2θ/deg | intensity | hkl |
| --- | --- | --- |
| 21.7 | 34 | 1 1 1 |
| 25.0 | 24 | 0 2 0 |
| 35.7 | 1000 | 2 2 0 |
| 42.2 | 12 | 3 1 1 |
| 51.2 | 58 | 0 0 4 |
| 51.5 | 114 | 4 0 0 |
| 64.1 | 116 | 2 2 4 |
| 64.2 | 230 | 4 2 2 |
| 75.6 | 71 | 4 0 4 |
| 75.8 | 35 | 4 4 0 |



(7)
Starting from a DFT-relaxed cell (GGA-PBE, Alexandria), the X-ray powder pattern of PmZn5Cd7 was simulated for Cu Kα X-rays.

Lattice parameters (Å, degrees): 5.646 9.501 9.594 90.00 90.00 90.00
Space group Imm2 (No. 44)
Inequivalent atoms, fractional coordinates:
1 Pm 0.000 0.000 0.000
2 Zn 0.000 0.500 0.717
3 Zn 0.250 0.241 0.244
4 Cd 0.000 0.000 0.344
5 Cd 0.000 0.000 0.652
6 Cd 0.000 0.291 0.496
7 Cd 0.000 0.346 0.993
8 Cd 0.000 0.500 0.274

Principal peaks in the range 10 to 80 degrees two-theta, low angle first:
| 2θ/deg | intensity | hkl |
| --- | --- | --- |
| 31.7 | 408 | 2 0 0 |
| 32.2 | 313 | 1 0 3 |
| 32.4 | 467 | 1 3 0 |
| 37.0 | 719 | 2 0 2 |
| 37.5 | 1000 | 0 0 4 |
| 37.6 | 736 | 1 3 2 |
| 37.9 | 286 | 0 4 0 |
| 41.7 | 634 | 2 2 2 |
| 60.3 | 331 | 3 3 2 |
| 67.7 | 212 | 1 3 6 |



(8)
Starting from a DFT-relaxed cell (GGA-PBE, Alexandria), the X-ray powder pattern of Pm2ZnCd16 was simulated for Cu Kα X-rays.

Lattice parameters (Å, degrees): 10.0572 10.0572 14.8891 90.00 90.00 120.00
Space group R3m (No. 160, hexagonal axes)
Inequivalent atoms, fractional coordinates:
1 Pm 0.0000 0.0000 0.0000
2 Pm 0.0000 0.0000 0.3460
3 Zn 0.0000 0.0000 0.5796
4 Cd 0.0000 0.0000 0.7677
5 Cd 0.0007 0.3029 0.6748
6 Cd 0.0248 0.5124 0.5273
7 Cd 0.0422 0.5211 0.1703
8 Cd 0.0583 0.5292 0.8285

Principal peaks in the range 10 to 80 degrees two-theta, low angle first:
| 2θ/deg | intensity | hkl |
| --- | --- | --- |
| 30.8 | 307 | 3 0 0 |
| 31.6 | 121 | 0 2 4 |
| 35.7 | 274 | 2 2 0 |
| 35.8 | 1000 | 0 3 3 |
| 36.2 | 261 | 0 0 6 |
| 36.6 | 181 | 2 0 5 |
| 40.2 | 280 | 2 2 3 |
| 64.2 | 90 | 6 0 0 |
| 64.9 | 167 | 0 3 9 |
| 70.1 | 102 | 2 5 3 |